Simulated X-ray diffraction stick pattern of PAuC2 for a wavelength of 1.5418 Å, from a cell relaxed with PBE.
No peak broadening, texture or thermal motion is included.

Structural model:
```
data_PAuC2
_chemical_formula_sum 'P1 Au1 C2'
_cell_length_a 2.5617
_cell_length_b 2.5618
_cell_length_c 12.5816
_cell_angle_alpha 92.68
_cell_angle_beta 91.30
_cell_angle_gamma 120.00
_symmetry_space_group_name_H-M 'P 1'
_symmetry_Int_Tables_number 1
_symmetry_space_group_name_Hall 'P 1'
loop_
_atom_site_label
_atom_site_type_symbol
_atom_site_fract_x
_atom_site_fract_y
_atom_site_fract_z
_atom_site_occupancy
P1 P 0.0000 0.0000 0.0000 1
Au1 Au 0.0921 0.1121 0.2997 1
C1 C 0.2060 0.3872 0.6499 1
C2 C 0.8727 0.7205 0.6499 1
```

Largest 6 diffraction maxima, sorted by position, 2θ from 10° to 90°:
| 2theta | d [Å] | I (rel.) |
| --- | --- | --- |
| 14.11 | 6.275 | 100 |
| 21.24 | 4.183 | 98 |
| 28.45 | 3.138 | 28 |
| 40.72 | 2.216 | 47 |
| 40.95 | 2.204 | 26 |
| 43.25 | 2.092 | 13 |

***

Simulated X-ray diffraction stick pattern of La3Cd2Co for a wavelength of 1.5418 Å, from a cell relaxed with PBE.
No peak broadening, texture or thermal motion is included.

Structural model:
```
data_La3Cd2Co
_chemical_formula_sum 'La6 Cd4 Co2'
_cell_length_a 5.3192
_cell_length_b 17.0816
_cell_length_c 3.7379
_cell_angle_alpha 90.00
_cell_angle_beta 90.00
_cell_angle_gamma 90.00
_symmetry_space_group_name_H-M 'C m m m'
_symmetry_Int_Tables_number 65
_symmetry_space_group_name_Hall '-C 2 2'
loop_
_atom_site_label
_atom_site_type_symbol
_atom_site_fract_x
_atom_site_fract_y
_atom_site_fract_z
_atom_site_occupancy
La1 La 0.0000 0.0000 0.0000 1
La2 La 0.0000 0.3730 0.5000 1
Cd1 Cd 0.0000 0.2020 0.0000 1
Co1 Co 0.0000 0.5000 0.0000 1
```

Largest 6 diffraction maxima, sorted by position, 2θ from 10° to 90°:
| 2theta | d [Å] | I (rel.) |
| --- | --- | --- |
| 29.68 | 3.010 | 87 |
| 31.11 | 2.875 | 81 |
| 31.82 | 2.813 | 100 |
| 33.25 | 2.694 | 55 |
| 33.70 | 2.660 | 69 |
| 47.02 | 1.932 | 67 |